Calculated powder diffraction line list of Ni10SnP3 for Cu Kα, 1.54184 Å, from DFT lattice parameters and positions (GGA-PBE).
Kinematic intensities with the Lorentz-polarization factor, no thermal factor.

Structural model:
a = 7.671 Å, b = 7.671 Å, c = 9.590 Å
α = 90.00°, β = 90.00°, γ = 120.00°
Sites, in units of the cell vectors:
Ni (0.000, 0.000, 0.120)
Ni (0.000, 0.000, 0.880)
Ni (0.000, 0.338, 0.000)
Ni (0.000, 0.662, 0.000)
Ni (0.019, 0.509, 0.740)
Ni (0.138, 0.276, 0.300)
Ni (0.138, 0.862, 0.300)
Ni (0.189, 0.378, 0.572)
Ni (0.189, 0.811, 0.572)
Ni (0.276, 0.138, 0.700)
Ni (0.333, 0.667, 0.404)
Ni (0.333, 0.667, 0.883)
Ni (0.338, 0.000, 0.000)
Ni (0.338, 0.338, 0.000)
Ni (0.378, 0.189, 0.428)
Ni (0.491, 0.509, 0.740)
Ni (0.491, 0.981, 0.740)
Ni (0.509, 0.019, 0.260)
Ni (0.509, 0.491, 0.260)
Ni (0.622, 0.811, 0.572)
Ni (0.662, 0.000, 0.000)
Ni (0.662, 0.662, 0.000)
Ni (0.667, 0.333, 0.117)
Ni (0.667, 0.333, 0.596)
Ni (0.724, 0.862, 0.300)
Ni (0.811, 0.189, 0.428)
Ni (0.811, 0.622, 0.428)
Ni (0.862, 0.138, 0.700)
Ni (0.862, 0.724, 0.700)
Ni (0.981, 0.491, 0.260)
Sn (0.000, 0.000, 0.500)
Sn (0.333, 0.667, 0.139)
Sn (0.667, 0.333, 0.861)
P (0.000, 0.500, 0.500)
P (0.164, 0.329, 0.809)
P (0.164, 0.836, 0.809)
P (0.329, 0.164, 0.191)
P (0.500, 0.000, 0.500)
P (0.500, 0.500, 0.500)
P (0.671, 0.836, 0.809)
P (0.836, 0.164, 0.191)
P (0.836, 0.671, 0.191)

Principal peaks in the range 2θ from 10° to 90°, in order of rising 2θ:
2θ = 36.6°, intensity 58; 2θ = 37.0°, intensity 35; 2θ = 39.1°, intensity 33; 2θ = 40.6°, intensity 34; 2θ = 41.9°, intensity 52; 2θ = 44.6°, intensity 52; 2θ = 45.1°, intensity 46; 2θ = 46.7°, intensity 88; 2θ = 47.4°, intensity 100; 2θ = 88.2°, intensity 20

Calculated powder diffraction line list of Ni21Sn2P6 for Cu Kα, 1.54184 Å, from DFT lattice parameters and positions (GGA-PBE).
Kinematic intensities with the Lorentz-polarization factor, no thermal factor.

Structural model:
a = 7.844 Å, b = 7.844 Å, c = 7.844 Å
α = 60.00°, β = 60.00°, γ = 60.00°
Sites, in units of the cell vectors:
Ni (0.000, 0.000, 0.000)
Ni (0.000, 0.000, 0.348)
Ni (0.000, 0.000, 0.652)
Ni (0.000, 0.348, 0.000)
Ni (0.000, 0.348, 0.652)
Ni (0.000, 0.652, 0.000)
Ni (0.000, 0.652, 0.348)
Ni (0.151, 0.616, 0.616)
Ni (0.348, 0.000, 0.000)
Ni (0.348, 0.000, 0.652)
Ni (0.348, 0.652, 0.000)
Ni (0.384, 0.384, 0.384)
Ni (0.384, 0.384, 0.849)
Ni (0.384, 0.849, 0.384)
Ni (0.616, 0.151, 0.616)
Ni (0.616, 0.616, 0.151)
Ni (0.616, 0.616, 0.616)
Ni (0.652, 0.000, 0.000)
Ni (0.652, 0.000, 0.348)
Ni (0.652, 0.348, 0.000)
Ni (0.849, 0.384, 0.384)
Sn (0.250, 0.250, 0.250)
Sn (0.750, 0.750, 0.750)
P (0.262, 0.262, 0.738)
P (0.262, 0.738, 0.262)
P (0.262, 0.738, 0.738)
P (0.738, 0.262, 0.262)
P (0.738, 0.262, 0.738)
P (0.738, 0.738, 0.262)

Principal peaks in the range 2θ from 10° to 90°, in order of rising 2θ:
2θ = 36.2°, intensity 36; 2θ = 39.8°, intensity 39; 2θ = 42.3°, intensity 100; 2θ = 46.3°, intensity 47; 2θ = 48.6°, intensity 29; 2θ = 54.9°, intensity 25; 2θ = 69.9°, intensity 11; 2θ = 72.3°, intensity 30; 2θ = 74.0°, intensity 12; 2θ = 85.8°, intensity 25

Calculated powder diffraction line list of Ni4P16W for Cu Kα, 1.54184 Å, from DFT lattice parameters and positions (GGA-PBE).
Kinematic intensities with the Lorentz-polarization factor, no thermal factor.

Structural model:
a = 10.230 Å, b = 10.230 Å, c = 11.138 Å
α = 100.51°, β = 100.51°, γ = 32.27°
Sites, in units of the cell vectors:
Ni (0.012, 0.200, 0.074)
Ni (0.196, 0.305, 0.371)
Ni (0.200, 0.012, 0.574)
Ni (0.305, 0.196, 0.871)
Ni (0.695, 0.804, 0.129)
Ni (0.800, 0.988, 0.426)
Ni (0.804, 0.695, 0.629)
Ni (0.988, 0.800, 0.926)
P (0.009, 0.114, 0.868)
P (0.015, 0.267, 0.280)
P (0.114, 0.009, 0.368)
P (0.116, 0.442, 0.188)
P (0.147, 0.279, 0.554)
P (0.220, 0.656, 0.420)
P (0.259, 0.732, 0.892)
P (0.267, 0.015, 0.780)
P (0.268, 0.741, 0.608)
P (0.279, 0.147, 0.054)
P (0.319, 0.397, 0.957)
P (0.344, 0.780, 0.080)
P (0.374, 0.384, 0.661)
P (0.384, 0.374, 0.161)
P (0.397, 0.319, 0.457)
P (0.442, 0.116, 0.688)
P (0.558, 0.884, 0.312)
P (0.603, 0.681, 0.543)
P (0.616, 0.626, 0.839)
P (0.626, 0.616, 0.339)
P (0.656, 0.220, 0.920)
P (0.681, 0.603, 0.043)
P (0.721, 0.853, 0.946)
P (0.732, 0.259, 0.392)
P (0.733, 0.985, 0.220)
P (0.741, 0.268, 0.108)
P (0.780, 0.344, 0.580)
P (0.853, 0.721, 0.446)
P (0.884, 0.558, 0.812)
P (0.886, 0.991, 0.632)
P (0.985, 0.733, 0.720)
P (0.991, 0.886, 0.132)
W (0.395, 0.605, 0.250)
W (0.605, 0.395, 0.750)

Principal peaks in the range 2θ from 10° to 90°, in order of rising 2θ:
2θ = 21.4°, intensity 63; 2θ = 23.7°, intensity 60; 2θ = 24.8°, intensity 88; 2θ = 32.3°, intensity 100; 2θ = 32.5°, intensity 91; 2θ = 34.7°, intensity 59; 2θ = 37.3°, intensity 53; 2θ = 50.4°, intensity 66; 2θ = 53.9°, intensity 73; 2θ = 54.3°, intensity 55

Calculated powder diffraction line list of Zr2NiP2 for Cu Kα, 1.54184 Å, from DFT lattice parameters and positions (GGA-PBE).
Kinematic intensities with the Lorentz-polarization factor, no thermal factor.

Structural model:
a = 3.779 Å, b = 3.779 Å, c = 13.045 Å
α = 90.00°, β = 90.00°, γ = 120.00°
Sites, in units of the cell vectors:
Zr (0.333, 0.667, 0.109)
Zr (0.333, 0.667, 0.391)
Zr (0.667, 0.333, 0.609)
Zr (0.667, 0.333, 0.891)
Ni (0.000, 0.000, 0.250)
Ni (0.000, 0.000, 0.750)
P (0.000, 0.000, 0.000)
P (0.000, 0.000, 0.500)
P (0.333, 0.667, 0.750)
P (0.667, 0.333, 0.250)

Principal peaks in the range 2θ from 10° to 90°, in order of rising 2θ:
2θ = 28.1°, intensity 34; 2θ = 34.3°, intensity 100; 2θ = 39.0°, intensity 68; 2θ = 48.2°, intensity 63; 2θ = 56.9°, intensity 14; 2θ = 60.4°, intensity 18; 2θ = 63.6°, intensity 15; 2θ = 65.4°, intensity 14; 2θ = 77.3°, intensity 20; 2θ = 80.8°, intensity 16

Which formula does entry 4 have? Zr2NiP2